# 1
For Ba3Hg6Sb5, a crystal structure in Alexandria, relaxed with GGA-PBE gives the theoretical X-ray powder pattern in this record (λ = 1.5418 Å (Cu Kα)).

Top 6 peaks for 2θ = 10–90°, most intense first:
2θ (°)	I_rel
34.61	100
29.42	90
30.16	46
32.33	37
49.74	25
46.55	22

Atomic structure:
Cell: 5.1839 15.5567 10.8318 Å, 90.00 90.00 90.00°
Element x y z (fractional)
Ba 0.2500 0.0622 0.2490
Ba 0.2500 0.4378 0.2490
Ba 0.2500 0.7500 0.2704
Ba 0.7500 0.2500 0.7296
Ba 0.7500 0.5622 0.7510
Ba 0.7500 0.9378 0.7510
Hg 0.2500 0.0654 0.9071
Hg 0.2500 0.2500 0.0808
Hg 0.2500 0.2500 0.4620
Hg 0.2500 0.4346 0.9071
Hg 0.2500 0.5922 0.5217
Hg 0.2500 0.9078 0.5217
Hg 0.7500 0.0922 0.4783
Hg 0.7500 0.4078 0.4783
Hg 0.7500 0.5654 0.0929
Hg 0.7500 0.7500 0.5380
Hg 0.7500 0.7500 0.9192
Hg 0.7500 0.9346 0.0929
Sb 0.2500 0.0888 0.6342
Sb 0.2500 0.4112 0.6342
Sb 0.2500 0.6285 0.9847
Sb 0.2500 0.7500 0.6923
Sb 0.2500 0.8715 0.9847
Sb 0.7500 0.1285 0.0153
Sb 0.7500 0.2500 0.3077
Sb 0.7500 0.3715 0.0153
Sb 0.7500 0.5888 0.3658
Sb 0.7500 0.9112 0.3658

# 2
For BaHg2Sb2, a crystal structure in Alexandria, relaxed with GGA-PBE gives the theoretical X-ray powder pattern in this record (λ = 1.5418 Å (Cu Kα)).

Top 6 peaks for 2θ = 10–90°, most intense first:
2θ (°)	I_rel
32.26	100
13.15	35
35.52	24
36.43	22
26.53	20
26.10	19

Atomic structure:
Cell: 5.0546 4.9322 7.1930 Å, 90.00 110.59 90.00°
Element x y z (fractional)
Ba 0.0000 0.0000 0.0000
Hg 0.2004 0.5000 0.4051
Hg 0.6923 0.0000 0.3851
Sb 0.3131 0.0000 0.6254
Sb 0.5537 0.5000 0.1080

# 3
For BaHgSb2Se4, a crystal structure in Alexandria, relaxed with GGA-PBE gives the theoretical X-ray powder pattern in this record (λ = 1.5418 Å (Cu Kα)).

Top 6 peaks for 2θ = 10–90°, most intense first:
2θ (°)	I_rel
30.53	100
21.50	27
42.47	24
32.49	18
42.21	16
35.99	15

Atomic structure:
Cell: 7.2528 7.2528 16.5332 Å, 90.00 90.00 145.88°
Element x y z (fractional)
Ba 0.1481 0.8519 0.7500
Ba 0.8519 0.1481 0.2500
Hg 0.1489 0.8511 0.2500
Hg 0.8511 0.1489 0.7500
Sb 0.3685 0.6315 0.5538
Sb 0.3685 0.6315 0.9462
Sb 0.6315 0.3685 0.0538
Sb 0.6315 0.3685 0.4462
Se 0.0000 0.0000 0.0000
Se 0.0000 0.0000 0.5000
Se 0.2723 0.7277 0.0914
Se 0.2723 0.7277 0.4086
Se 0.4830 0.5170 0.7500
Se 0.5170 0.4830 0.2500
Se 0.7277 0.2723 0.5914
Se 0.7277 0.2723 0.9086

# 4
For BaSnHgSb2, a crystal structure in Alexandria, relaxed with GGA-PBE gives the theoretical X-ray powder pattern in this record (λ = 1.5418 Å (Cu Kα)).

Top 6 peaks for 2θ = 10–90°, most intense first:
2θ (°)	I_rel
30.85	100
33.48	73
33.93	47
28.53	38
34.25	36
17.15	32

Atomic structure:
Cell: 8.3607 8.3607 10.3558 Å, 125.52 125.52 37.35°
Element x y z (fractional)
Ba 0.2077 0.2077 0.2114
Ba 0.7923 0.7923 0.7886
Sn 0.0942 0.0942 0.7517
Sn 0.9058 0.9058 0.2483
Hg 0.3903 0.3903 0.6726
Hg 0.6097 0.6097 0.3274
Sb 0.1429 0.1429 0.5073
Sb 0.3779 0.3779 0.0850
Sb 0.6221 0.6221 0.9150
Sb 0.8571 0.8571 0.4927

# 5
For BaSnHgSb, a crystal structure in Alexandria, relaxed with GGA-PBE gives the theoretical X-ray powder pattern in this record (λ = 1.5418 Å (Cu Kα)).

Top 6 peaks for 2θ = 10–90°, most intense first:
2θ (°)	I_rel
31.00	100
31.26	91
25.89	86
22.12	82
26.86	45
53.24	44

Atomic structure:
Cell: 6.6199 6.6199 5.7904 Å, 111.71 111.71 37.79°
Element x y z (fractional)
Ba 0.0000 0.0000 0.0000
Sn 0.7583 0.7583 0.3518
Hg 0.6913 0.6913 0.7873
Sb 0.4303 0.4303 0.4322

# 6
For Ba2Sc2Hg, a crystal structure in Alexandria, relaxed with GGA-PBE gives the theoretical X-ray powder pattern in this record (λ = 1.5418 Å (Cu Kα)).

Top 6 peaks for 2θ = 10–90°, most intense first:
2θ (°)	I_rel
30.06	100
27.69	66
22.18	47
37.10	36
48.44	34
33.07	17

Atomic structure:
Cell: 7.6625 7.6625 5.9543 Å, 90.00 90.00 90.00°
Element x y z (fractional)
Ba 0.1772 0.3228 0.0000
Ba 0.3228 0.8228 0.0000
Ba 0.6772 0.1772 0.0000
Ba 0.8228 0.6772 0.0000
Sc 0.1472 0.6472 0.5000
Sc 0.3528 0.1472 0.5000
Sc 0.6472 0.8528 0.5000
Sc 0.8528 0.3528 0.5000
Hg 0.0000 0.0000 0.5000
Hg 0.5000 0.5000 0.5000